(1)
Ta2RhS: computed powder X-ray diffraction pattern (Cu Ka), based on a structure optimized by DFT (PBE).

Top 10 peaks for 2θ from 10° to 80°, low angle first:
| 2theta | I/Imax |
| --- | --- |
| 26.18 | 34 |
| 33.23 | 17 |
| 36.16 | 100 |
| 37.36 | 73 |
| 42.79 | 8 |
| 52.97 | 62 |
| 53.86 | 23 |
| 66.60 | 14 |
| 70.60 | 24 |
| 78.93 | 16 |

Cell and atoms:
Lattice parameters (Å, degrees): 6.808 6.808 5.800 90.00 90.00 90.00
Sites, in units of the cell vectors:
Ta1 0.225 0.250 0.125
Ta2 0.250 0.725 0.375
Ta3 0.250 0.775 0.875
Ta4 0.275 0.250 0.625
Ta5 0.725 0.750 0.625
Ta6 0.750 0.225 0.875
Ta7 0.750 0.275 0.375
Ta8 0.775 0.750 0.125
Rh1 0.000 0.000 0.500
Rh2 0.000 0.500 0.750
Rh3 0.500 0.000 0.250
Rh4 0.500 0.500 0.000
S1 0.000 0.000 0.000
S2 0.000 0.500 0.250
S3 0.500 0.000 0.750
S4 0.500 0.500 0.500

***

(2)
TbThRhS: computed powder X-ray diffraction pattern (Cu Ka), based on a structure optimized by DFT (PBE).

Top 10 peaks for 2θ from 10° to 80°, low angle first:
| 2theta | I/Imax |
| --- | --- |
| 12.19 | 30 |
| 26.33 | 29 |
| 27.29 | 48 |
| 33.26 | 100 |
| 39.10 | 39 |
| 45.88 | 46 |
| 49.58 | 23 |
| 57.83 | 21 |
| 70.39 | 20 |
| 76.79 | 18 |

Cell and atoms:
Lattice parameters (Å, degrees): 3.956 3.956 21.789 90.00 90.00 120.00
Sites, in units of the cell vectors:
Tb1 0.000 0.000 0.000
Tb2 0.333 0.667 0.667
Tb3 0.667 0.333 0.333
Th1 0.000 0.000 0.818
Th2 0.333 0.667 0.485
Th3 0.667 0.333 0.152
Rh1 0.000 0.000 0.413
Rh2 0.333 0.667 0.080
Rh3 0.667 0.333 0.746
S1 0.000 0.000 0.245
S2 0.333 0.667 0.911
S3 0.667 0.333 0.578

***

(3)
TcRhS4: computed powder X-ray diffraction pattern (Cu Ka), based on a structure optimized by DFT (PBE).

Top 10 peaks for 2θ from 10° to 80°, low angle first:
| 2theta | I/Imax |
| --- | --- |
| 27.02 | 43 |
| 27.12 | 42 |
| 31.36 | 100 |
| 35.20 | 19 |
| 44.95 | 42 |
| 53.10 | 18 |
| 53.26 | 67 |
| 53.39 | 18 |
| 55.94 | 11 |
| 74.42 | 13 |

Cell and atoms:
Lattice parameters (Å, degrees): 5.698 5.702 5.715 90.00 90.32 90.00
Sites, in units of the cell vectors:
Tc1 0.000 0.000 0.000
Tc2 0.000 0.500 0.500
Rh1 0.500 0.000 0.500
Rh2 0.500 0.500 0.000
S1 0.108 0.117 0.619
S2 0.108 0.383 0.119
S3 0.380 0.611 0.609
S4 0.380 0.889 0.109
S5 0.620 0.111 0.891
S6 0.620 0.389 0.391
S7 0.892 0.617 0.881
S8 0.892 0.883 0.381

***

(4)
TlTcRhS3: computed powder X-ray diffraction pattern (Cu Ka), based on a structure optimized by DFT (PBE).

Top 10 peaks for 2θ from 10° to 80°, low angle first:
| 2theta | I/Imax |
| --- | --- |
| 18.45 | 70 |
| 22.89 | 44 |
| 23.84 | 100 |
| 24.79 | 62 |
| 27.72 | 44 |
| 31.33 | 87 |
| 32.35 | 77 |
| 34.98 | 79 |
| 35.69 | 51 |
| 44.52 | 50 |

Cell and atoms:
Lattice parameters (Å, degrees): 7.810 3.414 10.060 90.00 107.08 90.00
Sites, in units of the cell vectors:
Tl1 0.036 0.250 0.223
Tl2 0.964 0.750 0.777
Tc1 0.477 0.250 0.882
Tc2 0.523 0.750 0.118
Rh1 0.444 0.750 0.641
Rh2 0.556 0.250 0.359
S1 0.255 0.250 0.671
S2 0.312 0.250 0.035
S3 0.357 0.750 0.391
S4 0.643 0.250 0.609
S5 0.688 0.750 0.965
S6 0.745 0.750 0.329

***

(5)
TeRhS: computed powder X-ray diffraction pattern (Cu Ka), based on a structure optimized by DFT (PBE).

Top 10 peaks for 2θ from 10° to 80°, low angle first:
| 2theta | I/Imax |
| --- | --- |
| 22.63 | 74 |
| 28.57 | 100 |
| 28.89 | 84 |
| 32.23 | 67 |
| 32.50 | 57 |
| 34.27 | 100 |
| 44.53 | 81 |
| 44.95 | 81 |
| 46.65 | 62 |
| 50.82 | 62 |

Cell and atoms:
Lattice parameters (Å, degrees): 6.492 6.076 6.425 90.00 105.83 90.00
Sites, in units of the cell vectors:
Te1 0.148 0.123 0.347
Te2 0.148 0.377 0.847
Te3 0.852 0.623 0.153
Te4 0.852 0.877 0.653
Rh1 0.270 0.516 0.256
Rh2 0.270 0.984 0.756
Rh3 0.730 0.016 0.244
Rh4 0.730 0.484 0.744
S1 0.366 0.627 0.636
S2 0.366 0.873 0.136
S3 0.634 0.127 0.864
S4 0.634 0.373 0.364

***

(6)
TeRhS4: computed powder X-ray diffraction pattern (Cu Ka), based on a structure optimized by DFT (PBE).

Top 10 peaks for 2θ from 10° to 80°, low angle first:
| 2theta | I/Imax |
| --- | --- |
| 14.47 | 100 |
| 28.20 | 9 |
| 28.43 | 16 |
| 31.77 | 49 |
| 32.36 | 29 |
| 40.76 | 24 |
| 41.63 | 14 |
| 41.89 | 11 |
| 50.06 | 15 |
| 54.10 | 12 |

Cell and atoms:
Lattice parameters (Å, degrees): 13.561 3.615 6.335 90.00 115.50 90.00
Sites, in units of the cell vectors:
Te1 0.000 0.000 0.000
Te2 0.500 0.500 0.000
Rh1 0.000 0.500 0.500
Rh2 0.500 0.000 0.500
S1 0.106 0.000 0.743
S2 0.117 0.500 0.305
S3 0.383 0.000 0.695
S4 0.394 0.500 0.257
S5 0.606 0.500 0.743
S6 0.617 0.000 0.305
S7 0.883 0.500 0.695
S8 0.894 0.000 0.257

***

(7)
TlTeRhS: computed powder X-ray diffraction pattern (Cu Ka), based on a structure optimized by DFT (PBE).

Top 10 peaks for 2θ from 10° to 80°, low angle first:
| 2theta | I/Imax |
| --- | --- |
| 23.02 | 41 |
| 26.83 | 26 |
| 27.66 | 100 |
| 30.78 | 44 |
| 32.94 | 45 |
| 38.17 | 40 |
| 41.15 | 53 |
| 46.87 | 56 |
| 52.84 | 27 |
| 58.61 | 22 |

Cell and atoms:
Lattice parameters (Å, degrees): 3.876 3.876 23.186 90.00 90.00 120.00
Sites, in units of the cell vectors:
Tl1 0.000 0.000 0.000
Tl2 0.333 0.667 0.667
Tl3 0.667 0.333 0.333
Te1 0.000 0.000 0.531
Te2 0.333 0.667 0.198
Te3 0.667 0.333 0.864
Rh1 0.000 0.000 0.139
Rh2 0.333 0.667 0.805
Rh3 0.667 0.333 0.472
S1 0.000 0.000 0.755
S2 0.333 0.667 0.422
S3 0.667 0.333 0.088

***

(8)
Ti4RhS: computed powder X-ray diffraction pattern (Cu Ka), based on a structure optimized by DFT (PBE).

Top 10 peaks for 2θ from 10° to 80°, low angle first:
| 2theta | I/Imax |
| --- | --- |
| 15.88 | 39 |
| 22.38 | 66 |
| 22.68 | 56 |
| 29.40 | 28 |
| 33.69 | 100 |
| 35.79 | 48 |
| 43.90 | 59 |
| 44.22 | 46 |
| 50.39 | 26 |
| 55.53 | 63 |

Cell and atoms:
Lattice parameters (Å, degrees): 7.842 7.944 3.622 90.00 90.00 90.00
Sites, in units of the cell vectors:
Ti1 0.000 0.190 0.000
Ti2 0.000 0.810 0.000
Ti3 0.204 0.500 0.500
Ti4 0.296 0.000 0.500
Ti5 0.500 0.310 0.000
Ti6 0.500 0.690 0.000
Ti7 0.704 0.000 0.500
Ti8 0.796 0.500 0.500
Rh1 0.000 0.500 0.000
Rh2 0.500 0.000 0.000
S1 0.000 0.000 0.500
S2 0.500 0.500 0.500

***

(9)
Tl2Rh3S2: computed powder X-ray diffraction pattern (Cu Ka), based on a structure optimized by DFT (PBE).

Top 10 peaks for 2θ from 10° to 80°, low angle first:
| 2theta | I/Imax |
| --- | --- |
| 18.79 | 38 |
| 21.83 | 49 |
| 30.99 | 48 |
| 31.14 | 52 |
| 36.66 | 39 |
| 38.11 | 37 |
| 38.35 | 100 |
| 44.50 | 89 |
| 55.34 | 29 |
| 64.93 | 30 |

Cell and atoms:
Lattice parameters (Å, degrees): 5.771 5.771 5.771 59.70 59.70 59.70
Sites, in units of the cell vectors:
Tl1 0.000 0.000 0.000
Tl2 0.500 0.500 0.500
Rh1 0.000 0.500 0.500
Rh2 0.500 0.000 0.500
Rh3 0.500 0.500 0.000
S1 0.220 0.220 0.220
S2 0.780 0.780 0.780

***

(10)
RhWS: computed powder X-ray diffraction pattern (Cu Ka), based on a structure optimized by DFT (PBE).

Top 10 peaks for 2θ from 10° to 80°, low angle first:
| 2theta | I/Imax |
| --- | --- |
| 14.44 | 84 |
| 35.59 | 100 |
| 37.86 | 73 |
| 41.41 | 80 |
| 44.29 | 32 |
| 45.99 | 57 |
| 51.41 | 40 |
| 62.41 | 39 |
| 64.27 | 18 |
| 79.69 | 34 |

Cell and atoms:
Lattice parameters (Å, degrees): 2.976 2.976 12.270 90.00 90.00 120.00
Sites, in units of the cell vectors:
Rh1 0.000 0.000 0.167
Rh2 0.000 0.000 0.833
W1 0.333 0.667 0.500
W2 0.667 0.333 0.000
S1 0.000 0.000 0.364
S2 0.000 0.000 0.636

***

(11)
Y6Rh2S: computed powder X-ray diffraction pattern (Cu Ka), based on a structure optimized by DFT (PBE).

Top 10 peaks for 2θ from 10° to 80°, low angle first:
| 2theta | I/Imax |
| --- | --- |
| 29.54 | 35 |
| 30.08 | 64 |
| 30.60 | 100 |
| 31.28 | 74 |
| 32.55 | 55 |
| 33.07 | 40 |
| 33.43 | 41 |
| 33.78 | 39 |
| 36.82 | 50 |
| 39.84 | 36 |

Cell and atoms:
Lattice parameters (Å, degrees): 6.509 7.240 11.740 90.00 122.36 90.00
Sites, in units of the cell vectors:
Y1 0.088 0.181 0.427
Y2 0.088 0.319 0.927
Y3 0.250 0.669 0.430
Y4 0.250 0.831 0.930
Y5 0.395 0.047 0.246
Y6 0.395 0.453 0.746
Y7 0.605 0.547 0.254
Y8 0.605 0.953 0.754
Y9 0.750 0.169 0.070
Y10 0.750 0.331 0.570
Y11 0.912 0.681 0.073
Y12 0.912 0.819 0.573
Rh1 0.195 0.111 0.745
Rh2 0.195 0.389 0.245
Rh3 0.805 0.611 0.755
Rh4 0.805 0.889 0.255
S1 0.500 0.000 0.500
S2 0.500 0.500 0.000

***

(12)
Y8RhS3: computed powder X-ray diffraction pattern (Cu Ka), based on a structure optimized by DFT (PBE).

Top 10 peaks for 2θ from 10° to 80°, low angle first:
| 2theta | I/Imax |
| --- | --- |
| 15.04 | 15 |
| 27.79 | 33 |
| 30.36 | 100 |
| 34.22 | 44 |
| 44.63 | 22 |
| 47.54 | 40 |
| 50.76 | 21 |
| 55.95 | 17 |
| 57.42 | 25 |
| 77.66 | 30 |

Cell and atoms:
Lattice parameters (Å, degrees): 7.650 7.650 12.850 90.00 90.00 120.00
Sites, in units of the cell vectors:
Y1 0.000 0.000 0.000
Y2 0.000 0.000 0.500
Y3 0.001 0.501 0.499
Y4 0.162 0.324 0.242
Y5 0.162 0.838 0.242
Y6 0.324 0.162 0.742
Y7 0.333 0.667 0.738
Y8 0.499 0.501 0.499
Y9 0.499 0.999 0.499
Y10 0.501 0.001 0.999
Y11 0.501 0.499 0.999
Y12 0.667 0.333 0.238
Y13 0.676 0.838 0.242
Y14 0.838 0.162 0.742
Y15 0.838 0.676 0.742
Y16 0.999 0.499 0.999
Rh1 0.333 0.667 0.127
Rh2 0.667 0.333 0.627
S1 0.168 0.337 0.870
S2 0.168 0.832 0.870
S3 0.337 0.168 0.370
S4 0.663 0.832 0.870
S5 0.832 0.168 0.370
S6 0.832 0.663 0.370

***

(13)
Y7RhS5: computed powder X-ray diffraction pattern (Cu Ka), based on a structure optimized by DFT (PBE).

Top 10 peaks for 2θ from 10° to 80°, low angle first:
| 2theta | I/Imax |
| --- | --- |
| 28.50 | 23 |
| 29.86 | 95 |
| 30.72 | 24 |
| 32.08 | 100 |
| 33.21 | 67 |
| 42.23 | 31 |
| 46.35 | 25 |
| 46.48 | 25 |
| 47.16 | 32 |
| 56.83 | 29 |

Cell and atoms:
Lattice parameters (Å, degrees): 6.739 6.739 23.636 90.00 90.00 146.77
Sites, in units of the cell vectors:
Y1 0.038 0.962 0.750
Y2 0.139 0.861 0.036
Y3 0.139 0.861 0.464
Y4 0.305 0.695 0.678
Y5 0.305 0.695 0.822
Y6 0.411 0.589 0.110
Y7 0.411 0.589 0.390
Y8 0.589 0.411 0.610
Y9 0.589 0.411 0.890
Y10 0.695 0.305 0.178
Y11 0.695 0.305 0.322
Y12 0.861 0.139 0.536
Y13 0.861 0.139 0.964
Y14 0.962 0.038 0.250
Rh1 0.305 0.695 0.250
Rh2 0.695 0.305 0.750
S1 0.051 0.949 0.142
S2 0.051 0.949 0.358
S3 0.224 0.776 0.571
S4 0.224 0.776 0.929
S5 0.500 0.500 0.000
S6 0.500 0.500 0.500
S7 0.776 0.224 0.071
S8 0.776 0.224 0.429
S9 0.949 0.051 0.642
S10 0.949 0.051 0.858